# 1
Simulated powder XRD pattern
Compound: Pm2Tm5Ni4
Radiation: Cu Kα, 1.54184 Å
Structure: DFT lattice parameters and positions (PBE)
Peak positions follow from Bragg's law for the DFT cell and can differ from measured ones.

Top 10 peaks for 10° ≤ 2θ ≤ 90°, sorted by position:
- 2θ 28.6, rel. 88
- 2θ 33.6, rel. 20
- 2θ 34.1, rel. 68
- 2θ 34.5, rel. 100
- 2θ 37.8, rel. 31
- 2θ 47.3, rel. 25
- 2θ 49.4, rel. 22
- 2θ 54.1, rel. 25
- 2θ 58.1, rel. 25
- 2θ 59.6, rel. 27

Crystal structure
a = 18.7884 Å, b = 18.7884 Å, c = 3.6896 Å
α = 90.00°, β = 90.00°, γ = 168.26°
Atoms (fractional coordinates):
Pm 0.0860 0.9140 0.0000
Pm 0.9140 0.0860 0.0000
Tm 0.2109 0.7891 0.0000
Tm 0.3498 0.6502 0.5000
Tm 0.5000 0.5000 0.0000
Tm 0.6502 0.3498 0.5000
Tm 0.7891 0.2109 0.0000
Ni 0.0312 0.9688 0.5000
Ni 0.2721 0.7279 0.5000
Ni 0.7279 0.2721 0.5000
Ni 0.9688 0.0312 0.5000

***

# 2
Simulated powder XRD pattern
Compound: ZrF4
Radiation: Cu Kα, 1.54184 Å
Structure: DFT lattice parameters and positions (PBE)
Peak positions follow from Bragg's law for the DFT cell and can differ from measured ones.

Top 10 peaks for 10° ≤ 2θ ≤ 90°, sorted by position:
- 2θ 22.1, rel. 74
- 2θ 22.7, rel. 84
- 2θ 24.8, rel. 100
- 2θ 31.9, rel. 22
- 2θ 33.8, rel. 48
- 2θ 46.6, rel. 57
- 2θ 48.0, rel. 22
- 2θ 52.4, rel. 56
- 2θ 53.2, rel. 21
- 2θ 53.7, rel. 31

Crystal structure
a = 8.0396 Å, b = 8.0396 Å, c = 7.8501 Å
α = 90.00°, β = 90.00°, γ = 90.00°
Atoms (fractional coordinates):
Zr 0.1801 0.6828 0.2301
Zr 0.1801 0.6828 0.7699
Zr 0.3172 0.1801 0.2699
Zr 0.3172 0.1801 0.7301
Zr 0.6828 0.8199 0.2699
Zr 0.6828 0.8199 0.7301
Zr 0.8199 0.3172 0.2301
Zr 0.8199 0.3172 0.7699
F 0.0000 0.5000 0.2963
F 0.0000 0.5000 0.7037
F 0.0596 0.2110 0.1949
F 0.0596 0.2110 0.8051
F 0.1655 0.5394 0.0000
F 0.1727 0.2066 0.5000
F 0.1935 0.6816 0.5000
F 0.2066 0.8273 0.0000
F 0.2110 0.9404 0.3051
F 0.2110 0.9404 0.6949
F 0.2968 0.4356 0.2857
F 0.2968 0.4356 0.7143
F 0.3184 0.1935 0.0000
F 0.4356 0.7032 0.2143
F 0.4356 0.7032 0.7857
F 0.4606 0.1655 0.5000
F 0.5000 0.0000 0.2037
F 0.5000 0.0000 0.7963
F 0.5394 0.8345 0.5000
F 0.5644 0.2968 0.2143
F 0.5644 0.2968 0.7857
F 0.6816 0.8065 0.0000
F 0.7032 0.5644 0.2857
F 0.7032 0.5644 0.7143
F 0.7890 0.0596 0.3051
F 0.7890 0.0596 0.6949
F 0.7934 0.1727 0.0000
F 0.8065 0.3184 0.5000
F 0.8273 0.7934 0.5000
F 0.8345 0.4606 0.0000
F 0.9404 0.7890 0.1949
F 0.9404 0.7890 0.8051

***

# 3
Simulated powder XRD pattern
Compound: TbCdCu2
Radiation: Cu Kα, 1.54184 Å
Structure: DFT lattice parameters and positions (PBE)
Peak positions follow from Bragg's law for the DFT cell and can differ from measured ones.

Top 10 peaks for 10° ≤ 2θ ≤ 90°, sorted by position:
- 2θ 35.0, rel. 100
- 2θ 35.3, rel. 14
- 2θ 35.7, rel. 32
- 2θ 36.3, rel. 67
- 2θ 41.2, rel. 38
- 2θ 41.4, rel. 22
- 2θ 46.7, rel. 13
- 2θ 55.6, rel. 18
- 2θ 64.0, rel. 12
- 2θ 71.1, rel. 12

Crystal structure
a = 6.2403 Å, b = 4.3855 Å, c = 10.9920 Å
α = 90.00°, β = 90.00°, γ = 90.00°
Atoms (fractional coordinates):
Tb 0.2219 0.2500 0.1678
Tb 0.2781 0.7500 0.6678
Tb 0.7219 0.2500 0.3322
Tb 0.7781 0.7500 0.8322
Cd 0.1877 0.2500 0.4600
Cd 0.3123 0.7500 0.9600
Cd 0.6877 0.2500 0.0400
Cd 0.8123 0.7500 0.5400
Cu 0.0537 0.7500 0.3236
Cu 0.0628 0.2500 0.8964
Cu 0.4372 0.7500 0.3964
Cu 0.4463 0.2500 0.8236
Cu 0.5537 0.7500 0.1764
Cu 0.5628 0.2500 0.6036
Cu 0.9372 0.7500 0.1036
Cu 0.9463 0.2500 0.6764

***

# 4
Simulated powder XRD pattern
Compound: Ba6SbI3Br2
Radiation: Cu Kα, 1.54184 Å
Structure: DFT lattice parameters and positions (PBE)
Peak positions follow from Bragg's law for the DFT cell and can differ from measured ones.

Top 10 peaks for 10° ≤ 2θ ≤ 90°, sorted by position:
- 2θ 25.6, rel. 100
- 2θ 35.7, rel. 39
- 2θ 37.3, rel. 37
- 2θ 43.0, rel. 7
- 2θ 45.8, rel. 20
- 2θ 52.6, rel. 13
- 2θ 58.2, rel. 17
- 2θ 60.5, rel. 18
- 2θ 66.2, rel. 13
- 2θ 67.3, rel. 7

Crystal structure
a = 8.3483 Å, b = 8.3483 Å, c = 8.8653 Å
α = 99.01°, β = 99.01°, γ = 120.07°
Atoms (fractional coordinates):
Ba 0.0759 0.4077 0.2264
Ba 0.2564 0.2564 0.7726
Ba 0.4077 0.0759 0.2264
Ba 0.5923 0.9241 0.7736
Ba 0.7436 0.7436 0.2274
Ba 0.9241 0.5923 0.7736
Sb 0.0000 0.0000 0.0000
I 0.1654 0.8346 0.5000
I 0.5000 0.5000 0.5000
I 0.8346 0.1654 0.5000
Br 0.3330 0.6670 0.0000
Br 0.6670 0.3330 0.0000

***

# 5
Simulated powder XRD pattern
Compound: LiPmTeSe
Radiation: Cu Kα, 1.54184 Å
Structure: DFT lattice parameters and positions (PBE)
Peak positions follow from Bragg's law for the DFT cell and can differ from measured ones.

Top 10 peaks for 10° ≤ 2θ ≤ 90°, sorted by position:
- 2θ 26.3, rel. 100
- 2θ 26.7, rel. 29
- 2θ 32.5, rel. 47
- 2θ 38.1, rel. 42
- 2θ 41.8, rel. 26
- 2θ 46.2, rel. 20
- 2θ 46.9, rel. 41
- 2θ 55.0, rel. 14
- 2θ 57.8, rel. 20
- 2θ 70.4, rel. 13

Crystal structure
a = 4.7228 Å, b = 4.7228 Å, c = 9.7292 Å
α = 90.00°, β = 90.00°, γ = 90.00°
Atoms (fractional coordinates):
Li 0.2500 0.7500 0.0000
Li 0.7500 0.2500 0.0000
Pm 0.2500 0.2500 0.3324
Pm 0.7500 0.7500 0.6676
Te 0.2500 0.2500 0.8389
Te 0.7500 0.7500 0.1611
Se 0.2500 0.7500 0.5000
Se 0.7500 0.2500 0.5000

***

# 6
Simulated powder XRD pattern
Compound: La2Ni3P
Radiation: Cu Kα, 1.54184 Å
Structure: DFT lattice parameters and positions (PBE)
Peak positions follow from Bragg's law for the DFT cell and can differ from measured ones.

Top 10 peaks for 10° ≤ 2θ ≤ 90°, sorted by position:
- 2θ 25.3, rel. 18
- 2θ 33.7, rel. 100
- 2θ 44.6, rel. 38
- 2θ 44.7, rel. 12
- 2θ 52.0, rel. 5
- 2θ 57.0, rel. 21
- 2θ 64.9, rel. 23
- 2θ 75.1, rel. 18
- 2θ 75.3, rel. 9
- 2θ 82.1, rel. 6

Crystal structure
a = 8.1328 Å, b = 8.1288 Å, c = 5.7423 Å
α = 69.36°, β = 69.28°, γ = 41.36°
Atoms (fractional coordinates):
La 0.2437 0.7563 0.7563
La 0.2500 0.2500 0.2500
La 0.7500 0.7500 0.7500
La 0.7563 0.2437 0.2437
Ni 0.1720 0.1720 0.8280
Ni 0.1724 0.6562 0.3438
Ni 0.3438 0.8276 0.1724
Ni 0.6562 0.1724 0.8276
Ni 0.8276 0.3438 0.6562
Ni 0.8280 0.8280 0.1720
P 0.3334 0.3334 0.6666
P 0.6666 0.6666 0.3334

***

# 7
Simulated powder XRD pattern
Compound: Sm3Er3Co4
Radiation: Cu Kα, 1.54184 Å
Structure: DFT lattice parameters and positions (PBE)
Peak positions follow from Bragg's law for the DFT cell and can differ from measured ones.

Top 10 peaks for 10° ≤ 2θ ≤ 90°, sorted by position:
- 2θ 27.5, rel. 32
- 2θ 27.6, rel. 30
- 2θ 32.7, rel. 100
- 2θ 35.0, rel. 68
- 2θ 35.1, rel. 80
- 2θ 39.2, rel. 30
- 2θ 39.4, rel. 31
- 2θ 43.4, rel. 34
- 2θ 60.0, rel. 18
- 2θ 70.1, rel. 20

Crystal structure
a = 4.1735 Å, b = 7.2479 Å, c = 7.2479 Å
α = 89.47°, β = 90.00°, γ = 90.00°
Atoms (fractional coordinates):
Sm 0.0000 0.0000 0.0000
Sm 0.5000 0.3329 0.8347
Sm 0.5000 0.8347 0.3329
Er 0.0000 0.1638 0.5035
Er 0.0000 0.5035 0.1638
Er 0.0000 0.6584 0.6584
Co 0.5000 0.2334 0.2334
Co 0.5000 0.4515 0.4515
Co 0.5000 0.7145 0.9359
Co 0.5000 0.9359 0.7145

***

# 8
Simulated powder XRD pattern
Compound: Ba2In7Au12
Radiation: Cu Kα, 1.54184 Å
Structure: DFT lattice parameters and positions (PBE)
Peak positions follow from Bragg's law for the DFT cell and can differ from measured ones.

Top 10 peaks for 10° ≤ 2θ ≤ 90°, sorted by position:
- 2θ 16.7, rel. 32
- 2θ 30.8, rel. 100
- 2θ 33.8, rel. 26
- 2θ 35.2, rel. 18
- 2θ 38.0, rel. 15
- 2θ 39.2, rel. 27
- 2θ 39.3, rel. 22
- 2θ 42.9, rel. 31
- 2θ 43.0, rel. 21
- 2θ 46.3, rel. 18

Crystal structure
a = 10.6200 Å, b = 10.6200 Å, c = 5.2864 Å
α = 90.00°, β = 90.00°, γ = 120.00°
Atoms (fractional coordinates):
Ba 0.3333 0.6667 0.2775
Ba 0.6667 0.3333 0.7225
In 0.0000 0.0000 0.5000
In 0.0952 0.7272 0.8532
In 0.2728 0.3681 0.8532
In 0.3681 0.0952 0.1468
In 0.6319 0.9048 0.8532
In 0.7272 0.6319 0.1468
In 0.9048 0.2728 0.1468
Au 0.0676 0.4615 0.7104
Au 0.1342 0.8435 0.3456
Au 0.1565 0.2907 0.3456
Au 0.2907 0.1342 0.6544
Au 0.3940 0.9324 0.7104
Au 0.4615 0.3940 0.2896
Au 0.5385 0.6060 0.7104
Au 0.6060 0.0676 0.2896
Au 0.7093 0.8658 0.3456
Au 0.8435 0.7093 0.6544
Au 0.8658 0.1565 0.6544
Au 0.9324 0.5385 0.2896

***

# 9
Simulated powder XRD pattern
Compound: LaSmS
Radiation: Cu Kα, 1.54184 Å
Structure: DFT lattice parameters and positions (PBE)
Peak positions follow from Bragg's law for the DFT cell and can differ from measured ones.

Top 10 peaks for 10° ≤ 2θ ≤ 90°, sorted by position:
- 2θ 25.8, rel. 13
- 2θ 27.0, rel. 20
- 2θ 29.2, rel. 100
- 2θ 37.7, rel. 25
- 2θ 45.4, rel. 24
- 2θ 49.1, rel. 23
- 2θ 53.7, rel. 19
- 2θ 54.9, rel. 17
- 2θ 73.9, rel. 14
- 2θ 74.6, rel. 11

Crystal structure
a = 3.9918 Å, b = 3.9918 Å, c = 6.6021 Å
α = 90.00°, β = 90.00°, γ = 120.00°
Atoms (fractional coordinates):
La 0.0000 0.0000 0.0000
Sm 0.6667 0.3333 0.5080
S 0.3333 0.6667 0.2644

***

# 10
Simulated powder XRD pattern
Compound: Dy3Ho2ErSe6
Radiation: Cu Kα, 1.54184 Å
Structure: DFT lattice parameters and positions (PBE)
Peak positions follow from Bragg's law for the DFT cell and can differ from measured ones.

Top 10 peaks for 10° ≤ 2θ ≤ 90°, sorted by position:
- 2θ 26.9, rel. 16
- 2θ 31.1, rel. 100
- 2θ 44.4, rel. 13
- 2θ 44.6, rel. 25
- 2θ 44.7, rel. 37
- 2θ 55.1, rel. 7
- 2θ 55.6, rel. 13
- 2θ 64.9, rel. 8
- 2θ 73.9, rel. 11
- 2θ 82.4, rel. 10

Crystal structure
a = 9.0797 Å, b = 9.0797 Å, c = 8.1567 Å
α = 103.25°, β = 103.25°, γ = 25.77°
Atoms (fractional coordinates):
Dy 0.0000 0.0000 0.0000
Dy 0.3328 0.3328 0.6670
Dy 0.6672 0.6672 0.3330
Ho 0.3330 0.3330 0.1661
Ho 0.6670 0.6670 0.8339
Er 0.0000 0.0000 0.5000
Se 0.1656 0.1656 0.5839
Se 0.1669 0.1669 0.0821
Se 0.4997 0.4997 0.2525
Se 0.5003 0.5003 0.7475
Se 0.8331 0.8331 0.9179
Se 0.8344 0.8344 0.4161

***

# 11
Simulated powder XRD pattern
Compound: Mg2Si
Radiation: Cu Kα, 1.54184 Å
Structure: DFT lattice parameters and positions (PBE)
Peak positions follow from Bragg's law for the DFT cell and can differ from measured ones.

Top 10 peaks for 10° ≤ 2θ ≤ 90°, sorted by position:
- 2θ 21.9, rel. 30
- 2θ 28.3, rel. 33
- 2θ 29.8, rel. 94
- 2θ 33.3, rel. 29
- 2θ 34.0, rel. 47
- 2θ 38.3, rel. 79
- 2θ 38.5, rel. 100
- 2θ 38.6, rel. 27
- 2θ 42.6, rel. 65
- 2θ 47.3, rel. 27

Crystal structure
a = 6.0128 Å, b = 5.9986 Å, c = 7.6170 Å
α = 90.00°, β = 112.78°, γ = 90.00°
Atoms (fractional coordinates):
Mg 0.0165 0.0000 0.4335
Mg 0.2468 0.4668 0.9959
Mg 0.3227 0.9640 0.1455
Mg 0.4315 0.3962 0.4175
Mg 0.5685 0.8962 0.5825
Mg 0.6773 0.4640 0.8545
Mg 0.7532 0.9668 0.0041
Mg 0.9835 0.5000 0.5665
Si 0.0082 0.6174 0.2189
Si 0.2957 0.8202 0.7937
Si 0.7043 0.3202 0.2063
Si 0.9918 0.1174 0.7811

***

# 12
Simulated powder XRD pattern
Compound: Tm8AsS6
Radiation: Cu Kα, 1.54184 Å
Structure: DFT lattice parameters and positions (PBE)
Peak positions follow from Bragg's law for the DFT cell and can differ from measured ones.

Top 10 peaks for 10° ≤ 2θ ≤ 90°, sorted by position:
- 2θ 29.2, rel. 91
- 2θ 31.1, rel. 43
- 2θ 31.3, rel. 100
- 2θ 36.1, rel. 41
- 2θ 37.9, rel. 18
- 2θ 43.4, rel. 41
- 2θ 52.2, rel. 31
- 2θ 54.5, rel. 17
- 2θ 57.3, rel. 28
- 2θ 82.7, rel. 19

Crystal structure
a = 9.8853 Å, b = 9.8853 Å, c = 3.8915 Å
α = 90.00°, β = 90.00°, γ = 120.00°
Atoms (fractional coordinates):
Tm 0.0330 0.3254 0.2571
Tm 0.2924 0.9670 0.2571
Tm 0.3254 0.2924 0.7429
Tm 0.3333 0.6667 0.7473
Tm 0.6667 0.3333 0.2527
Tm 0.6746 0.7076 0.2571
Tm 0.7076 0.0330 0.7429
Tm 0.9670 0.6746 0.7429
As 0.0000 0.0000 0.5000
S 0.1336 0.6518 0.2473
S 0.3482 0.4818 0.2473
S 0.4818 0.1336 0.7527
S 0.5182 0.8664 0.2473
S 0.6518 0.5182 0.7527
S 0.8664 0.3482 0.7527